Calculated PXRD pattern of Na3CdBi3 for a wavelength of 1.5418 Å, from the PBE geometry in Alexandria.
Peak positions follow from Bragg's law for the DFT cell and can differ from measured ones.

Crystal structure
abc: 8.8315 14.8873 7.9317
angles: 90.00 119.39 90.00
Space group C2/m (No. 12)
Inequivalent atoms, fractional coordinates:
Na 0.0000 0.1157 0.0000 x4
Na 0.0000 0.3159 0.5000 x4
Na 0.0635 0.5000 0.8342 x4
Cd 0.1372 0.0000 0.7202 x4
Bi 0.1993 0.3121 0.1363 x8
Bi 0.2382 0.0000 0.4087 x4

The 8 most intense peaks (15° ≤ 2θ ≤ 90°), by angle:
| d [Å] | I_rel | (hkl) |
| --- | --- | --- |
| 5.065 | 100 | 0 2 1 |
| 4.083 | 45 | 1 3 -1 |
| 3.848 | 50 | 2 0 0 |
| 3.828 | 46 | 1 1 -2 |
| 2.778 | 29 | 3 1 -2 |
| 2.640 | 58 | 2 2 1 |
| 2.514 | 36 | 3 3 -1 |
| 2.380 | 42 | 1 5 -2 |


Calculated PXRD pattern of Na2Cd3Bi for a wavelength of 1.5418 Å, from the PBE geometry in Alexandria.
Peak positions follow from Bragg's law for the DFT cell and can differ from measured ones.

Crystal structure
abc: 3.5495 5.0770 8.9994
angles: 90.00 90.00 90.00
Space group Pmm2 (No. 25)
Inequivalent atoms, fractional coordinates:
Na 0.0000 0.0000 0.0000 x1
Na 0.0000 0.5000 0.4885 x1
Cd 0.5000 0.0000 0.3218 x1
Cd 0.5000 0.0000 0.6416 x1
Cd 0.5000 0.5000 0.1723 x1
Bi 0.5000 0.5000 0.8313 x1

The 8 most intense peaks (15° ≤ 2θ ≤ 90°), by angle:
| d [Å] | I_rel | (hkl) |
| --- | --- | --- |
| 4.422 | 67 | 0 1 1 |
| 3.550 | 84 | 1 0 0 |
| 2.787 | 37 | 1 0 2 |
| 2.768 | 81 | 1 1 1 |
| 2.583 | 100 | 0 1 3 |
| 2.538 | 50 | 0 2 0 |
| 2.088 | 75 | 1 1 3 |
| 2.065 | 38 | 1 2 0 |


Calculated PXRD pattern of Na5CdBi2 for a wavelength of 1.5418 Å, from the PBE geometry in Alexandria.
Peak positions follow from Bragg's law for the DFT cell and can differ from measured ones.

Crystal structure
abc: 5.5131 5.5131 19.9538
angles: 90.00 90.00 120.00
Space group P6_3/mmc (No. 194)
Inequivalent atoms, fractional coordinates:
Na 0.0000 0.0000 0.1446 x4
Na 0.3333 0.6667 0.0569 x4
Na 0.3333 0.6667 0.2500 x2
Cd 0.3333 0.6667 0.7500 x2
Bi 0.3333 0.6667 0.6078 x4

The 8 most intense peaks (15° ≤ 2θ ≤ 90°), by angle:
| d [Å] | I_rel | (hkl) |
| --- | --- | --- |
| 4.774 | 41 | 1 0 0 |
| 4.643 | 100 | 1 0 1 |
| 3.879 | 32 | 1 0 3 |
| 2.757 | 71 | 1 1 0 |
| 2.448 | 52 | 1 0 7 |
| 2.122 | 23 | 1 1 6 |
| 1.830 | 22 | 2 0 7 |
| 1.525 | 24 | 2 1 7 |


Calculated PXRD pattern of NaCdBiO4 for a wavelength of 1.5418 Å, from the PBE geometry in Alexandria.
Peak positions follow from Bragg's law for the DFT cell and can differ from measured ones.

Crystal structure
abc: 6.6935 6.7754 9.7828
angles: 90.00 90.00 90.00
Space group Imma (No. 74)
Inequivalent atoms, fractional coordinates:
Na 0.0000 0.2500 0.1092 x4
Cd 0.0000 0.0000 0.5000 x4
Bi 0.2500 0.2500 0.7500 x4
O 0.0000 0.0350 0.7484 x8
O 0.2318 0.2500 0.5357 x8

The 8 most intense peaks (15° ≤ 2θ ≤ 90°), by angle:
| d [Å] | I_rel | (hkl) |
| --- | --- | --- |
| 5.570 | 100 | 0 1 1 |
| 5.524 | 24 | 1 0 1 |
| 2.937 | 32 | 0 1 3 |
| 2.869 | 47 | 2 1 1 |
| 2.785 | 29 | 0 2 2 |
| 2.762 | 30 | 2 0 2 |
| 2.381 | 37 | 2 2 0 |
| 1.706 | 31 | 2 2 4 |


Calculated PXRD pattern of NaTl2Cd3Bi4 for a wavelength of 1.5418 Å, from the PBE geometry in Alexandria.
Peak positions follow from Bragg's law for the DFT cell and can differ from measured ones.

Crystal structure
abc: 5.0397 5.0397 12.8854
angles: 90.00 90.00 90.00
Space group P-4m2 (No. 115)
Inequivalent atoms, fractional coordinates:
Na 0.0000 0.0000 0.0000 x1
Tl 0.0000 0.5000 0.7636 x2
Cd 0.0000 0.5000 0.3597 x2
Cd 0.5000 0.5000 0.0000 x1
Bi 0.0000 0.0000 0.5000 x1
Bi 0.0000 0.5000 0.1386 x2
Bi 0.5000 0.5000 0.5000 x1

The 8 most intense peaks (15° ≤ 2θ ≤ 90°), by angle:
| d [Å] | I_rel | (hkl) |
| --- | --- | --- |
| 3.269 | 51 | 1 0 3 |
| 3.118 | 100 | 1 1 2 |
| 2.520 | 64 | 2 0 0 |
| 2.390 | 27 | 1 1 4 |
| 2.294 | 37 | 1 0 5 |
| 1.996 | 26 | 2 1 3 |
| 1.697 | 29 | 2 1 5 |
| 1.547 | 26 | 3 1 2 |


Calculated PXRD pattern of NbCdBi2O6 for a wavelength of 1.5418 Å, from the PBE geometry in Alexandria.
Peak positions follow from Bragg's law for the DFT cell and can differ from measured ones.

Crystal structure
abc: 6.0234 6.0234 13.8928
angles: 90.00 90.00 120.00
Space group R3 (No. 146, hexagonal axes)
Inequivalent atoms, fractional coordinates:
Nb 0.0000 0.0000 0.0000 x3
Cd 0.0000 0.0000 0.5065 x3
Bi 0.0000 0.0000 0.2316 x3
Bi 0.0000 0.0000 0.7622 x3
O 0.0290 0.2762 0.1123 x9
O 0.0690 0.7285 0.6156 x9

The 8 most intense peaks (15° ≤ 2θ ≤ 90°), by angle:
| d [Å] | I_rel | (hkl) |
| --- | --- | --- |
| 4.171 | 21 | 0 1 2 |
| 3.012 | 100 | 1 1 0 |
| 2.891 | 86 | 1 0 4 |
| 2.086 | 42 | 0 2 4 |
| 1.739 | 27 | 3 0 0 |
| 1.715 | 41 | 3 -1 4 |
| 1.506 | 14 | 2 2 0 |
| 1.336 | 16 | 1 3 4 |


Calculated PXRD pattern of Nd2Cd16Bi for a wavelength of 1.5418 Å, from the PBE geometry in Alexandria.
Peak positions follow from Bragg's law for the DFT cell and can differ from measured ones.

Crystal structure
abc: 10.3392 10.3392 14.6735
angles: 90.00 90.00 120.00
Space group R3m (No. 160, hexagonal axes)
Inequivalent atoms, fractional coordinates:
Nd 0.0000 0.0000 0.0000 x3
Nd 0.0000 0.0000 0.3288 x3
Cd 0.0000 0.0000 0.7710 x3
Cd 0.0167 0.5083 0.8191 x9
Cd 0.0190 0.3504 0.3311 x18
Cd 0.1750 0.3501 0.4994 x9
Cd 0.1750 0.3499 0.8415 x9
Bi 0.0000 0.0000 0.5592 x3

The 8 most intense peaks (15° ≤ 2θ ≤ 90°), by angle:
| d [Å] | I_rel | (hkl) |
| --- | --- | --- |
| 2.985 | 48 | 3 0 0 |
| 2.837 | 22 | 0 2 4 |
| 2.585 | 62 | 2 2 0 |
| 2.548 | 100 | 0 3 3 |
| 2.446 | 32 | 0 0 6 |
| 2.285 | 71 | 2 2 3 |
| 1.492 | 30 | 6 0 0 |
| 1.431 | 28 | 0 3 9 |


Calculated PXRD pattern of Nd3CdBi2 for a wavelength of 1.5418 Å, from the PBE geometry in Alexandria.
Peak positions follow from Bragg's law for the DFT cell and can differ from measured ones.

Crystal structure
abc: 14.5483 6.4589 9.1754
angles: 90.00 108.37 90.00
Space group C2/c (No. 15)
Inequivalent atoms, fractional coordinates:
Nd 0.0000 0.0005 0.2500 x4
Nd 0.1751 0.5001 0.0875 x8
Cd 0.0000 0.4994 0.7500 x4
Bi 0.1648 0.0001 0.0825 x8

The 8 most intense peaks (15° ≤ 2θ ≤ 90°), by angle:
| d [Å] | I_rel | (hkl) |
| --- | --- | --- |
| 3.249 | 100 | 2 0 2 |
| 3.229 | 50 | 0 2 0 |
| 2.301 | 19 | 6 0 0 |
| 2.291 | 97 | 2 0 -4 |
| 1.874 | 21 | 6 2 0 |
| 1.870 | 21 | 2 2 -4 |
| 1.451 | 27 | 0 0 6 |
| 1.446 | 18 | 2 4 2 |